Entry 1:
The following is a theoretical powder diffraction line list of Mn6Ga3C. It was derived from a structure optimized by DFT (PBE), using a wavelength of 1.5418 Å.
Lines closer than 0.1° are merged.

Top 10 peaks for 10° ≤ 2θ ≤ 80°, in order of falling intensity:
2θ (°)  intensity
40.8  100
43.3  87
46.9  83
46.3  81
44.3  63
37.7  61
40.9  47
74.3  26
27.3  26
56.4  24

Structural model:
Lattice parameters (Å, degrees): 5.139 5.139 6.196 106.54 106.54 61.20
Positions (direct):
1 Mn 0.143 0.643 0.624
2 Mn 0.185 0.185 0.799
3 Mn 0.357 0.857 0.376
4 Mn 0.643 0.143 0.624
5 Mn 0.815 0.815 0.201
6 Mn 0.857 0.357 0.376
7 Ga 0.310 0.310 0.247
8 Ga 0.500 0.500 0.000
9 Ga 0.690 0.690 0.753
10 C 0.000 0.000 0.500

=====

Entry 2:
The following is a theoretical powder diffraction line list of MnGaC. It was derived from a structure optimized by DFT (PBE), using a wavelength of 1.5418 Å.
Lines closer than 0.1° are merged.

Top 10 peaks for 10° ≤ 2θ ≤ 80°, in order of falling intensity:
2θ (°)  intensity
38.8  100
44.6  49
42.9  36
51.0  35
37.0  21
14.9  19
30.1  18
59.2  17
79.9  14
63.8  14

Structural model:
Lattice parameters (Å, degrees): 6.106 6.106 4.218 90.00 90.00 152.88
Positions (direct):
1 Mn 0.056 0.944 0.750
2 Mn 0.944 0.056 0.250
3 Ga 0.367 0.633 0.750
4 Ga 0.633 0.367 0.250
5 C 0.198 0.802 0.750
6 C 0.802 0.198 0.250

=====

Entry 3:
The following is a theoretical powder diffraction line list of PuMn2Ga2C. It was derived from a structure optimized by DFT (PBE), using a wavelength of 1.5418 Å.
Lines closer than 0.1° are merged.

Top 10 peaks for 10° ≤ 2θ ≤ 80°, in order of falling intensity:
2θ (°)  intensity
36.2  100
39.8  90
27.9  62
32.3  54
46.3  49
62.7  47
15.9  21
79.2  21
54.9  21
54.8  20

Structural model:
Lattice parameters (Å, degrees): 3.920 3.920 5.558 90.00 90.00 90.00
Positions (direct):
1 Pu 0.000 0.000 0.000
2 Mn 0.000 0.500 0.500
3 Mn 0.500 0.000 0.500
4 Ga 0.500 0.500 0.227
5 Ga 0.500 0.500 0.773
6 C 0.000 0.000 0.500

=====

Entry 4:
The following is a theoretical powder diffraction line list of Sm2Mn2Ga2C. It was derived from a structure optimized by DFT (PBE), using a wavelength of 1.5418 Å.
Lines closer than 0.1° are merged.

Top 10 peaks for 10° ≤ 2θ ≤ 80°, in order of falling intensity:
2θ (°)  intensity
34.7  100
33.7  65
46.7  51
38.4  49
33.8  45
39.5  42
32.5  41
35.9  35
30.7  34
62.7  29

Structural model:
Lattice parameters (Å, degrees): 5.827 5.827 7.273 124.26 124.26 39.00
Positions (direct):
1 Sm 0.062 0.062 0.285
2 Sm 0.938 0.938 0.715
3 Mn 0.305 0.305 0.927
4 Mn 0.695 0.695 0.073
5 Ga 0.350 0.350 0.308
6 Ga 0.650 0.650 0.692
7 C 0.500 0.500 0.000